[1]
TbAgH2C2SO9: computed X-ray diffraction stick pattern (Cu Kα (weighted mean of Kα1 and Kα2)), based on a structure optimized by DFT (GGA-PBE).
Lines closer than 0.1° are merged.

Most intense lines, 2θ = 10–90°, by angle:
d (Å)	Rel. int.
8.039	35
6.084	32
4.348	88
4.020	62
3.761	91
3.420	100
2.833	61
2.605	36
2.266	37
2.034	38

Structural model:
Cell lengths 7.588, 7.588, 8.949 Å; angles 113.09, 113.09, 53.58 degrees
Atoms (fractional coordinates):
Tb1 0.245 0.245 0.262
Tb2 0.755 0.755 0.738
Ag1 0.084 0.084 0.668
Ag2 0.916 0.916 0.332
H1 0.308 0.308 0.981
H2 0.420 0.420 0.146
H3 0.580 0.580 0.854
H4 0.692 0.692 0.019
C1 0.018 0.018 0.930
C2 0.390 0.610 0.500
C3 0.610 0.390 0.500
C4 0.982 0.982 0.070
S1 0.331 0.331 0.708
S2 0.669 0.669 0.292
O1 0.057 0.057 0.218
O2 0.120 0.120 0.970
O3 0.131 0.478 0.785
O4 0.216 0.602 0.413
O5 0.258 0.258 0.526
O6 0.339 0.339 0.102
O7 0.398 0.784 0.587
O8 0.447 0.447 0.742
O9 0.478 0.131 0.785
O10 0.522 0.869 0.215
O11 0.553 0.553 0.258
O12 0.602 0.216 0.413
O13 0.661 0.661 0.898
O14 0.742 0.742 0.474
O15 0.784 0.398 0.587
O16 0.869 0.522 0.215
O17 0.880 0.880 0.030
O18 0.943 0.943 0.782

=====

[2]
KAgCO3: computed X-ray diffraction stick pattern (Cu Kα (weighted mean of Kα1 and Kα2)), based on a structure optimized by DFT (GGA-PBE).
Lines closer than 0.1° are merged.

Most intense lines, 2θ = 10–90°, by angle:
d (Å)	Rel. int.
5.064	43
3.376	58
2.741	100
2.561	51
2.482	44
2.411	76
2.177	84
1.926	44
1.892	32
1.583	24

Structural model:
Cell lengths 10.912, 10.912, 10.912 Å; angles 149.75, 149.21, 43.70 degrees
Atoms (fractional coordinates):
K1 0.069 0.319 0.750
K2 0.431 0.181 0.250
K3 0.569 0.819 0.750
K4 0.931 0.681 0.250
Ag1 0.140 0.250 0.390
Ag2 0.360 0.750 0.110
Ag3 0.640 0.250 0.890
Ag4 0.860 0.750 0.610
C1 0.125 0.875 0.250
C2 0.375 0.625 0.750
C3 0.625 0.375 0.250
C4 0.875 0.125 0.750
O1 0.036 0.748 0.971
O2 0.061 0.811 0.250
O3 0.223 0.752 0.789
O4 0.277 0.065 0.529
O5 0.439 0.689 0.750
O6 0.464 0.435 0.711
O7 0.536 0.565 0.289
O8 0.561 0.311 0.250
O9 0.723 0.935 0.471
O10 0.777 0.248 0.211
O11 0.939 0.189 0.750
O12 0.964 0.252 0.029